Entry 1:
Starting from a DFT-relaxed cell (PBE, Alexandria), the powder X-ray diffraction pattern of Y3Tm4Sc2 was simulated for Cu Kα (weighted mean of Kα1 and Kα2).
Peak positions follow from Bragg's law for the DFT cell and can differ from measured ones.

Largest 10 diffraction maxima, in order of falling intensity, 2θ from 5° to 70°:
2theta  I/Imax  hkl
32.83  100  4 2 1
31.79  63  1 1 -2
31.10  57  5 1 -1
31.16  50  0 4 0
38.36  40  5 3 -1
9.48  22  1 1 0
38.94  22  1 3 -2
57.59  21  6 2 -3
50.68  18  1 5 -2
28.95  16  5 1 0

Cell and atoms:
a = 16.148 Å, b = 11.482 Å, c = 5.813 Å
α = 90.00°, β = 97.60°, γ = 90.00°
Space group C2/c (No. 15)
Asymmetric unit:
Y: 0.000 0.114 0.250 [4 per cell]
Y: 0.170 0.353 0.088 [8 per cell]
Tm: 0.061 0.386 0.535 [8 per cell]
Tm: 0.218 0.101 0.372 [8 per cell]
Sc: 0.104 0.136 0.798 [8 per cell]

=====

Entry 2:
Starting from a DFT-relaxed cell (PBE, Alexandria), the powder X-ray diffraction pattern of Y8Tm2Sc3 was simulated for Cu Kα (weighted mean of Kα1 and Kα2).
Peak positions follow from Bragg's law for the DFT cell and can differ from measured ones.

Largest 10 diffraction maxima, in order of falling intensity, 2θ from 5° to 70°:
2theta  I/Imax  hkl
32.49  100  3 1 -2
32.71  94  5 1 0
31.89  78  2 0 2
34.59  62  1 3 1
33.50  46  4 2 -1
20.24  39  0 2 0
35.95  36  3 3 0
23.75  33  2 2 0
34.35  33  0 2 2
61.91  23  5 5 0

Cell and atoms:
a = 14.580 Å, b = 8.773 Å, c = 6.573 Å
α = 90.00°, β = 98.73°, γ = 90.00°
Space group C2/m (No. 12)
Asymmetric unit:
Y: 0.088 0.000 0.384 [4 per cell]
Y: 0.111 0.184 0.928 [8 per cell]
Y: 0.193 0.500 0.296 [4 per cell]
Tm: 0.199 0.500 0.788 [4 per cell]
Sc: 0.000 0.337 0.500 [4 per cell]
Sc: 0.000 0.500 0.000 [2 per cell]

=====

Entry 3:
Starting from a DFT-relaxed cell (PBE, Alexandria), the powder X-ray diffraction pattern of Y6Tm5Sc2 was simulated for Cu Kα (weighted mean of Kα1 and Kα2).
Peak positions follow from Bragg's law for the DFT cell and can differ from measured ones.

Largest 10 diffraction maxima, in order of falling intensity, 2θ from 5° to 70°:
2theta  I/Imax  hkl
33.14  100  2 3 1
28.15  77  3 3 0
30.35  77  0 4 1
32.45  59  0 8 0
32.58  55  3 5 0
36.56  46  3 1 1
52.55  42  0 0 2
63.17  33  0 8 2
16.06  29  0 4 0
37.04  28  2 5 1

Cell and atoms:
a = 10.538 Å, b = 22.072 Å, c = 3.483 Å
α = 90.00°, β = 90.00°, γ = 90.00°
Space group Pbam (No. 55)
Asymmetric unit:
Y: 0.036 0.111 0.000 [4 per cell]
Y: 0.135 0.384 0.000 [4 per cell]
Y: 0.166 0.641 0.500 [4 per cell]
Tm: 0.000 0.500 0.500 [2 per cell]
Tm: 0.086 0.249 0.500 [4 per cell]
Tm: 0.166 0.989 0.500 [4 per cell]
Sc: 0.164 0.773 0.000 [4 per cell]

=====

Entry 4:
Starting from a DFT-relaxed cell (PBE, Alexandria), the powder X-ray diffraction pattern of Y5Tm3Sc2 was simulated for Cu Kα (weighted mean of Kα1 and Kα2).
Peak positions follow from Bragg's law for the DFT cell and can differ from measured ones.

Largest 10 diffraction maxima, in order of falling intensity, 2θ from 5° to 70°:
2theta  I/Imax  hkl
31.43  100  0 2 1
36.42  33  2 2 -2
62.44  27  1 1 4
52.49  23  1 3 -5
36.53  17  -3 3 1
20.14  16  1 -2 0
62.59  13  -3 5 2
52.56  12  1 -5 1
65.61  12  0 4 2
12.04  7  0 1 -1

Cell and atoms:
a = 9.211 Å, b = 9.213 Å, c = 9.231 Å
α = 106.70°, β = 106.52°, γ = 115.28°
Space group P-1 (No. 2)
Asymmetric unit:
Y: 0.074 0.227 0.051 [2 per cell]
Y: 0.130 0.378 0.751 [2 per cell]
Y: 0.178 0.525 0.452 [2 per cell]
Y: 0.324 0.978 0.552 [2 per cell]
Y: 0.378 0.129 0.250 [2 per cell]
Tm: 0.024 0.076 0.349 [2 per cell]
Tm: 0.228 0.676 0.150 [2 per cell]
Tm: 0.428 0.275 0.953 [2 per cell]
Sc: 0.279 0.829 0.853 [2 per cell]
Sc: 0.476 0.425 0.650 [2 per cell]

=====

Entry 5:
Starting from a DFT-relaxed cell (PBE, Alexandria), the powder X-ray diffraction pattern of Y12TmSc2 was simulated for Cu Kα (weighted mean of Kα1 and Kα2).
Peak positions follow from Bragg's law for the DFT cell and can differ from measured ones.

Largest 10 diffraction maxima, in order of falling intensity, 2θ from 5° to 70°:
2theta  I/Imax  hkl
31.15  100  1 1 -1
31.82  92  0 1 8
34.77  59  1 0 7
52.10  36  1 2 7
37.55  32  0 2 0
60.89  27  1 1 15
61.20  27  2 1 -9
37.17  14  1 0 -9
50.80  13  2 0 -1
64.86  13  2 2 -1

Cell and atoms:
a = 3.595 Å, b = 4.791 Å, c = 27.846 Å
α = 90.00°, β = 93.66°, γ = 90.00°
Space group P2/m (No. 10)
Asymmetric unit:
Y: 0.032 0.000 0.064 [2 per cell]
Y: 0.098 0.000 0.195 [2 per cell]
Y: 0.160 0.000 0.319 [2 per cell]
Y: 0.224 0.000 0.447 [2 per cell]
Y: 0.309 0.500 0.619 [2 per cell]
Y: 0.435 0.500 0.870 [2 per cell]
Tm: 0.500 0.500 0.000 [1 per cell]
Sc: 0.371 0.500 0.743 [2 per cell]

=====

Entry 6:
Starting from a DFT-relaxed cell (PBE, Alexandria), the powder X-ray diffraction pattern of Y5Tm12Sc2 was simulated for Cu Kα (weighted mean of Kα1 and Kα2).
Peak positions follow from Bragg's law for the DFT cell and can differ from measured ones.

Largest 10 diffraction maxima, in order of falling intensity, 2θ from 5° to 70°:
2theta  I/Imax  hkl
32.28  100  6 0 0
32.56  53  4 2 0
26.56  41  2 2 0
30.42  35  2 2 1
32.97  34  4 2 -2
31.62  31  0 0 3
18.57  28  2 0 -2
30.97  27  4 2 -1
33.19  27  6 0 -3
61.15  25  10 2 0

Cell and atoms:
a = 18.755 Å, b = 7.333 Å, c = 9.570 Å
α = 90.00°, β = 117.51°, γ = 90.00°
Space group C2/m (No. 12)
Asymmetric unit:
Y: 0.000 0.000 0.000 [2 per cell]
Y: 0.183 0.000 0.684 [4 per cell]
Y: 0.184 0.500 0.692 [4 per cell]
Tm: 0.002 0.500 0.818 [4 per cell]
Tm: 0.003 0.000 0.697 [4 per cell]
Tm: 0.158 0.246 0.348 [8 per cell]
Tm: 0.160 0.243 0.986 [8 per cell]
Sc: 0.000 0.309 0.500 [4 per cell]

=====

Entry 7:
Starting from a DFT-relaxed cell (PBE, Alexandria), the powder X-ray diffraction pattern of Y8Tm5Sc was simulated for Cu Kα (weighted mean of Kα1 and Kα2).
Peak positions follow from Bragg's law for the DFT cell and can differ from measured ones.

Largest 10 diffraction maxima, in order of falling intensity, 2θ from 5° to 70°:
2theta  I/Imax  hkl
34.23  100  2 1 3
29.79  70  1 3 0
29.64  57  3 0 1
35.28  39  2 3 1
28.40  37  1 0 3
34.89  27  3 1 2
55.77  27  5 0 3
22.78  22  1 2 1
32.15  21  2 2 2
13.20  20  1 1 0

Cell and atoms:
a = 9.484 Å, b = 9.484 Å, c = 9.993 Å
α = 90.00°, β = 90.00°, γ = 90.00°
Space group I-4 (No. 82)
Asymmetric unit:
Y: 0.069 0.176 0.158 [8 per cell]
Y: 0.086 0.319 0.497 [8 per cell]
Tm: 0.000 0.500 0.250 [2 per cell]
Tm: 0.107 0.291 0.826 [8 per cell]
Sc: 0.000 0.000 0.500 [2 per cell]

=====

Entry 8:
Starting from a DFT-relaxed cell (PBE, Alexandria), the powder X-ray diffraction pattern of Y12Tm6Sc was simulated for Cu Kα (weighted mean of Kα1 and Kα2).
Peak positions follow from Bragg's law for the DFT cell and can differ from measured ones.

Largest 10 diffraction maxima, in order of falling intensity, 2θ from 5° to 70°:
2theta  I/Imax  hkl
31.90  100  0 3 3
32.75  100  4 0 1
32.05  66  3 1 2
29.12  43  1 0 4
15.99  34  0 1 2
29.60  28  1 3 1
49.33  28  3 0 6
57.83  25  4 3 4
35.00  20  0 4 2
56.97  18  4 4 0

Cell and atoms:
a = 12.9304 Å, b = 12.9304 Å, c = 12.7544 Å
α = 90.00°, β = 90.00°, γ = 120.00°
Space group R-3m (No. 166, hexagonal axes)
Asymmetric unit:
Y: 0.0000 0.2623 0.0000 [18 per cell]
Y: 0.0514 0.5257 0.1155 [18 per cell]
Tm: 0.0894 0.1787 0.7732 [18 per cell]
Sc: 0.0000 0.0000 0.0000 [3 per cell]